No. 1
For Lu2P4O13, a structure optimized by DFT (PBE) gives the computed powder XRD pattern in this record (CuKα).

Peak list (10 most intense, 2θ from 10° to 80°, by angle)
2θ/deg  I (rel.)  h k l
14.4  50  0 0 2
15.5  69  2 0 0
19.5  46  1 1 -2
24.0  28  2 0 2
26.6  36  0 2 0
26.9  35  3 1 0
27.3  21  3 1 -2
30.9  100  1 1 -4
36.1  17  2 2 2
41.7  19  5 1 0

```
data_Lu2P4O13
_space_group_name_H-M_alt 'C 1 2/c 1'
_space_group_IT_number 15
_space_group_name_Hall '-C 2yc'
_cell_length_a 11.915
_cell_length_b 6.708
_cell_length_c 12.853
_cell_angle_alpha 90.00
_cell_angle_beta 106.33
_cell_angle_gamma 90.00
loop_
_atom_site_label
_atom_site_fract_x
_atom_site_fract_y
_atom_site_fract_z
_atom_site_occupancy
Lu1 0.197 0.003 0.052 1
P1 0.012 0.349 0.867 1
P2 0.233 0.493 0.660 1
O1 0.000 0.252 0.750 1
O2 0.006 0.177 0.943 1
O3 0.096 0.496 0.653 1
O4 0.114 0.491 0.897 1
O5 0.199 0.006 0.222 1
O6 0.244 0.184 0.407 1
O7 0.249 0.176 0.906 1
```

***

No. 2
For RbLuP2O7, a structure optimized by DFT (PBE) gives the computed powder XRD pattern in this record (CuKα).

Peak list (10 most intense, 2θ from 10° to 80°, by angle)
2θ/deg  I (rel.)  h k l
14.4  39  1 1 0
15.9  54  1 1 -1
19.5  26  0 2 1
21.2  46  0 0 2
22.9  25  1 1 -2
23.8  32  2 0 0
27.4  69  1 3 0
28.3  52  1 1 2
28.6  100  2 2 -1
32.1  30  1 1 -3

```
data_RbLuP2O7
_space_group_name_H-M_alt 'P 1 21/c 1'
_space_group_IT_number 14
_space_group_name_Hall '-P 2ybc'
_cell_length_a 7.770
_cell_length_b 10.849
_cell_length_c 8.702
_cell_angle_alpha 90.00
_cell_angle_beta 105.50
_cell_angle_gamma 90.00
loop_
_atom_site_label
_atom_site_fract_x
_atom_site_fract_y
_atom_site_fract_z
_atom_site_occupancy
Rb1 0.190 0.182 0.059 1
Lu1 0.236 0.599 0.254 1
P1 0.130 0.599 0.820 1
P2 0.436 0.636 0.686 1
O1 0.004 0.501 0.723 1
O2 0.078 0.729 0.753 1
O3 0.148 0.590 0.998 1
O4 0.327 0.566 0.797 1
O5 0.333 0.611 0.514 1
O6 0.379 0.076 0.767 1
O7 0.448 0.727 0.232 1
```

***

No. 3
For Lu2Pb2O7, a structure optimized by DFT (PBE) gives the computed powder XRD pattern in this record (CuKα).

Peak list (9 most intense, 2θ from 10° to 80°, by angle)
2θ/deg  I (rel.)  h k l
14.4  1  1 1 1
27.8  1  3 1 1
29.1  100  2 2 2
33.7  37  4 0 0
48.4  48  4 4 0
57.4  46  6 2 2
60.2  11  4 4 4
70.8  7  8 0 0
78.3  19  6 6 2

Cell: 10.647 10.647 10.647 Å, 90.00 90.00 90.00°
Space group Fd-3m (No. 227, origin choice 2)
Symmetry-distinct sites (fractional):
Lu 0.000 0.000 0.000 x16
Pb 0.000 0.000 0.500 x16
O 0.104 0.375 0.875 x48
O 0.125 0.125 0.125 x8